Structure and calculated X-ray diffraction stick pattern of Pr2ZnSi2Rh5 (a PBE-relaxed structure; λ = 1.5418 Å (Cu Kα)).
Neutral-atom scattering factors, no anomalous dispersion.

Most intense lines, 2θ = 10–90°, by intensity:
two_theta  d [Å]  intensity
38.58  2.333  100.0
37.15  2.420  77.9
32.71  2.738  64.5
41.76  2.163  35.4
36.33  2.473  32.1
66.33  1.409  27.9
40.43  2.231  25.7
38.27  2.352  23.3
52.82  1.733  23.1
65.69  1.421  19.2

Cell and atoms:
```
Pr2ZnSi2Rh5
1.0
9.9780 0.0000 0.0000
0.0000 9.9780 0.0000
0.0000 0.0000 3.4666
Pr Zn Si Rh
4 2 4 10
direct
0.1758 0.3242 0.0000
0.3242 0.8242 0.0000
0.6758 0.1758 0.0000
0.8242 0.6758 0.0000
0.0000 0.0000 0.0000
0.5000 0.5000 0.0000
0.1233 0.6233 0.0000
0.3767 0.1233 0.0000
0.6233 0.8767 0.0000
0.8767 0.3767 0.0000
0.0000 0.5000 0.5000
0.0669 0.7856 0.5000
0.2144 0.0669 0.5000
0.2856 0.5669 0.5000
0.4331 0.2856 0.5000
0.5000 0.0000 0.5000
0.5669 0.7144 0.5000
0.7144 0.4331 0.5000
0.7856 0.9331 0.5000
0.9331 0.2144 0.5000
```

***

Structure and calculated X-ray diffraction stick pattern of PrSm3Rh4 (a PBE-relaxed structure; λ = 1.5418 Å (Cu Kα)).
Neutral-atom scattering factors, no anomalous dispersion.

Most intense lines, 2θ = 10–90°, by intensity:
two_theta  d [Å]  intensity
36.35  2.472  100.0
35.71  2.515  52.4
64.57  1.443  36.7
51.39  1.778  18.4
65.81  1.419  17.4
77.18  1.236  10.9
53.29  1.719  8.3
86.56  1.125  8.3
86.93  1.121  8.2
89.94  1.091  7.8

Cell and atoms:
```
PrSm3Rh4
1.0
3.4382 0.0000 0.0000
0.0000 5.0265 0.0000
0.0000 0.0000 10.0633
Pr Sm Rh
1 3 4
direct
0.0000 0.0000 0.0000
0.0000 0.0000 0.5000
0.0000 0.5000 0.2520
0.0000 0.5000 0.7480
0.5000 0.0000 0.2552
0.5000 0.0000 0.7448
0.5000 0.5000 0.0000
0.5000 0.5000 0.5000
```

***

Structure and calculated X-ray diffraction stick pattern of Pr2Sm2Rh3 (a PBE-relaxed structure; λ = 1.5418 Å (Cu Kα)).
Neutral-atom scattering factors, no anomalous dispersion.

Most intense lines, 2θ = 10–90°, by intensity:
two_theta  d [Å]  intensity
31.97  2.799  100.0
38.04  2.366  52.2
52.73  1.736  32.2
64.94  1.436  20.2
79.58  1.205  16.5
28.52  3.130  15.0
50.51  1.807  12.5
68.72  1.366  11.6
48.22  1.887  11.1
66.85  1.400  9.1

Cell and atoms:
```
Pr2Sm2Rh3
1.0
-4.4259 4.4259 4.4259
4.4259 -4.4259 4.4259
4.4259 4.4259 -4.4259
Pr Sm Rh
4 4 6
direct
0.0000 0.1228 0.5000
0.1228 0.5000 0.0000
0.3772 0.3772 0.3772
0.5000 0.0000 0.1228
0.0000 0.6158 0.5000
0.5000 0.0000 0.6158
0.6158 0.5000 0.0000
0.8842 0.8842 0.8842
0.1061 0.8561 0.2500
0.2500 0.1061 0.8561
0.3939 0.6439 0.7500
0.6439 0.7500 0.3939
0.7500 0.3939 0.6439
0.8561 0.2500 0.1061
```

***

Structure and calculated X-ray diffraction stick pattern of Pr3Sm2Rh2 (a PBE-relaxed structure; λ = 1.5418 Å (Cu Kα)).
Neutral-atom scattering factors, no anomalous dispersion.

Most intense lines, 2θ = 10–90°, by intensity:
two_theta  d [Å]  intensity
31.87  2.808  100.0
31.33  2.855  85.6
33.36  2.686  77.8
29.94  2.984  74.4
33.01  2.713  59.3
37.72  2.385  45.8
29.25  3.053  45.8
46.14  1.967  45.6
34.65  2.589  41.7
57.17  1.611  37.7

Cell and atoms:
```
Pr3Sm2Rh2
1.0
6.2265 -1.9672 0.0000
6.2265 1.9672 0.0000
-3.9492 0.0000 8.2876
Pr Sm Rh
3 2 2
direct
0.0000 0.0000 0.0000
0.1137 0.1137 0.4267
0.8863 0.8863 0.5733
0.3288 0.3288 0.1878
0.6712 0.6712 0.8122
0.3171 0.3171 0.7563
0.6829 0.6829 0.2437
```

***

Structure and calculated X-ray diffraction stick pattern of PrSmTh2Rh4 (a PBE-relaxed structure; λ = 1.5418 Å (Cu Kα)).
Neutral-atom scattering factors, no anomalous dispersion.

Most intense lines, 2θ = 10–90°, by intensity:
two_theta  d [Å]  intensity
30.94  2.890  100.0
44.59  2.032  73.0
31.30  2.858  54.4
53.71  1.707  24.4
42.48  2.128  18.6
56.79  1.621  16.4
74.01  1.281  16.4
46.11  1.969  15.3
27.51  3.242  13.1
73.42  1.290  11.7

Cell and atoms:
```
PrSmTh2Rh4
1.0
0.0000 5.7154 4.2565
3.9374 0.0000 4.2565
3.9374 5.7154 0.0000
Pr Sm Th Rh
1 1 2 4
direct
0.0000 0.0000 0.0000
0.4380 0.4380 0.5620
0.2447 0.2447 0.2553
0.7447 0.7447 0.7553
0.2546 0.7396 0.2604
0.5131 0.9261 0.4869
0.7396 0.2546 0.7454
0.9261 0.5131 0.0739
```

***

Structure and calculated X-ray diffraction stick pattern of PrSn4Rh4 (a PBE-relaxed structure; λ = 1.5418 Å (Cu Kα)).
Neutral-atom scattering factors, no anomalous dispersion.

Most intense lines, 2θ = 10–90°, by intensity:
two_theta  d [Å]  intensity
31.78  2.816  100.0
40.49  2.228  65.7
47.81  1.902  64.3
34.77  2.580  63.3
45.52  1.993  47.9
14.07  6.297  30.1
19.89  4.463  27.8
28.32  3.151  27.6
58.58  1.576  24.6
77.25  1.235  21.7

Cell and atoms:
```
PrSn4Rh4
1.0
8.9049 0.0000 0.0000
0.0000 8.9049 0.0000
0.0000 0.0000 5.1600
Pr Sn Rh
2 8 8
direct
0.2500 0.2500 0.2500
0.7500 0.7500 0.7500
0.1080 0.6501 0.2484
0.1501 0.8920 0.7484
0.3499 0.6080 0.7484
0.3920 0.8499 0.2484
0.6080 0.1501 0.7516
0.6501 0.3920 0.2516
0.8499 0.1080 0.2516
0.8920 0.3499 0.7516
0.0453 0.5983 0.7484
0.0983 0.9547 0.2484
0.4017 0.5453 0.2484
0.4547 0.9017 0.7484
0.5453 0.0983 0.2516
0.5983 0.4547 0.7516
0.9017 0.0453 0.7516
0.9547 0.4017 0.2516
```